(1)
Structure and calculated powder diffractogram of NiHOs2 (a DFT-relaxed cell (PBE, Alexandria); Cu Kα (weighted mean of Kα1 and Kα2)).
Peak positions follow from Bragg's law for the DFT cell and can differ from measured ones.

The 10 most intense peaks (2θ = 10–90°), by angle:
2theta	intensity
30.3	407
38.6	1000
42.1	862
43.4	207
48.8	162
49.8	268
59.4	288
74.7	136
82.6	190
84.3	171

Crystal structure
Cell lengths 4.866, 4.866, 4.866 Å; angles 105.35, 105.35, 118.07 degrees
Fractional coordinates of all 8 atoms:
1 Ni 0.000 0.000 0.000
2 Ni 0.750 0.250 0.500
3 H 0.250 0.750 0.500
4 H 0.500 0.500 0.000
5 Os 0.213 0.625 0.088
6 Os 0.375 0.463 0.588
7 Os 0.537 0.125 0.912
8 Os 0.875 0.787 0.412

***

(2)
Structure and calculated powder diffractogram of Li3NdU2S6 (a DFT-relaxed cell (PBE, Alexandria); Cu Kα (weighted mean of Kα1 and Kα2)).
Peak positions follow from Bragg's law for the DFT cell and can differ from measured ones.

The 10 most intense peaks (2θ = 10–90°), by angle:
2theta	intensity
14.2	1000
26.6	742
27.9	320
32.5	868
35.6	367
43.0	195
46.2	319
47.1	300
48.5	287
57.6	164

Crystal structure
Cell lengths 6.814, 6.814, 6.647 Å; angles 99.87, 99.87, 120.01 degrees
Fractional coordinates of all 12 atoms:
1 Li 0.000 0.000 0.000
2 Li 0.333 0.667 0.000
3 Li 0.667 0.333 0.000
4 Nd 0.500 0.500 0.500
5 U 0.166 0.834 0.500
6 U 0.834 0.166 0.500
7 S 0.070 0.415 0.244
8 S 0.243 0.243 0.760
9 S 0.415 0.070 0.244
10 S 0.585 0.930 0.756
11 S 0.757 0.757 0.240
12 S 0.930 0.585 0.756

***

(3)
Structure and calculated powder diffractogram of SmNi5Sn (a DFT-relaxed cell (PBE, Alexandria); Cu Kα (weighted mean of Kα1 and Kα2)).
Peak positions follow from Bragg's law for the DFT cell and can differ from measured ones.

The 10 most intense peaks (2θ = 10–90°), by angle:
2theta	intensity
31.8	187
33.7	178
36.6	507
39.0	1000
44.0	220
45.6	406
46.8	248
67.5	280
67.6	195
72.2	167

Crystal structure
Cell lengths 8.110, 4.914, 10.294 Å; angles 90.00, 90.00, 90.00 degrees
Fractional coordinates of all 28 atoms:
1 Sm 0.250 0.250 0.059
2 Sm 0.250 0.750 0.559
3 Sm 0.750 0.250 0.441
4 Sm 0.750 0.750 0.941
5 Ni 0.052 0.250 0.602
6 Ni 0.066 0.501 0.809
7 Ni 0.066 0.999 0.809
8 Ni 0.085 0.750 0.017
9 Ni 0.187 0.750 0.245
10 Ni 0.313 0.250 0.745
11 Ni 0.415 0.250 0.517
12 Ni 0.434 0.001 0.309
13 Ni 0.434 0.499 0.309
14 Ni 0.448 0.750 0.102
15 Ni 0.552 0.250 0.898
16 Ni 0.566 0.501 0.691
17 Ni 0.566 0.999 0.691
18 Ni 0.585 0.750 0.483
19 Ni 0.687 0.750 0.255
20 Ni 0.813 0.250 0.755
21 Ni 0.915 0.250 0.983
22 Ni 0.934 0.001 0.191
23 Ni 0.934 0.499 0.191
24 Ni 0.948 0.750 0.398
25 Sn 0.142 0.250 0.360
26 Sn 0.358 0.750 0.860
27 Sn 0.642 0.250 0.140
28 Sn 0.858 0.750 0.640

***

(4)
Structure and calculated powder diffractogram of LiNdI4 (a DFT-relaxed cell (PBE, Alexandria); Cu Kα (weighted mean of Kα1 and Kα2)).
Peak positions follow from Bragg's law for the DFT cell and can differ from measured ones.

The 10 most intense peaks (2θ = 10–90°), by angle:
2theta	intensity
13.1	230
16.9	277
23.4	458
24.6	431
27.5	1000
28.3	518
37.6	266
39.8	392
39.9	376
40.8	186

Crystal structure
Cell lengths 10.533, 10.533, 7.689 Å; angles 103.93, 103.93, 130.35 degrees
Fractional coordinates of all 12 atoms:
1 Li 0.083 0.917 0.750
2 Li 0.917 0.083 0.250
3 Nd 0.423 0.577 0.250
4 Nd 0.577 0.423 0.750
5 I 0.060 0.416 0.247
6 I 0.200 0.296 0.754
7 I 0.296 0.200 0.254
8 I 0.416 0.060 0.747
9 I 0.584 0.940 0.253
10 I 0.704 0.800 0.746
11 I 0.800 0.704 0.246
12 I 0.940 0.584 0.753